No. 1
Starting from a cell relaxed with GGA-PBE, the powder diffraction line list of Ga2PdBr8 was calculated for λ = 1.5418 Å (Cu Kα).
Neutral-atom scattering factors, no anomalous dispersion.

Main lines, most intense first (10° ≤ 2θ ≤ 80°):
- d 3.204, 27.85 deg, intensity 100
- d 5.542, 15.99 deg, intensity 96
- d 2.211, 40.81 deg, intensity 65
- d 5.423, 16.35 deg, intensity 64
- d 7.333, 12.07 deg, intensity 59
- d 3.559, 25.02 deg, intensity 58
- d 3.710, 23.99 deg, intensity 47
- d 1.963, 46.25 deg, intensity 45
- d 3.829, 23.23 deg, intensity 40
- d 4.415, 20.11 deg, intensity 32
- d 1.944, 46.72 deg, intensity 26
- d 2.273, 39.65 deg, intensity 25

Crystal structure
```
Ga2PdBr8
1.0
6.6613 -4.4151 0.0000
6.6613 4.4151 0.0000
-1.1881 0.0000 7.6711
Ga Pd Br
2 1 8
direct
0.2120 0.2120 0.3301
0.7880 0.7880 0.6699
0.0000 0.0000 0.0000
0.0847 0.6926 0.8445
0.1801 0.1801 0.6141
0.3074 0.9153 0.1555
0.3789 0.3789 0.2885
0.6211 0.6211 0.7115
0.6926 0.0847 0.8445
0.8199 0.8199 0.3859
0.9153 0.3074 0.1555
```

***

No. 2
Starting from a cell relaxed with GGA-PBE, the powder diffraction line list of Ga3Te3Br was calculated for λ = 1.5418 Å (Cu Kα).
Neutral-atom scattering factors, no anomalous dispersion.

Main lines, most intense first (10° ≤ 2θ ≤ 80°):
- d 3.344, 26.66 deg, intensity 100
- d 3.372, 26.43 deg, intensity 35
- d 3.736, 23.82 deg, intensity 33
- d 2.084, 43.43 deg, intensity 32
- d 1.965, 46.21 deg, intensity 27
- d 2.005, 45.24 deg, intensity 26
- d 1.910, 47.62 deg, intensity 26
- d 2.995, 29.83 deg, intensity 25
- d 3.300, 27.02 deg, intensity 22
- d 3.173, 28.12 deg, intensity 21
- d 7.472, 11.84 deg, intensity 20
- d 3.505, 25.42 deg, intensity 18

Crystal structure
```
Ga3Te3Br
1.0
11.2236 0.0000 0.0000
0.0000 4.1678 0.0000
0.0000 0.0000 20.0260
Ga Te Br
12 12 4
direct
0.0523 0.2500 0.0995
0.1611 0.2500 0.6334
0.1691 0.2500 0.9946
0.3309 0.7500 0.4946
0.3389 0.7500 0.1334
0.4477 0.7500 0.5995
0.5523 0.2500 0.4005
0.6611 0.2500 0.8666
0.6691 0.2500 0.5054
0.8309 0.7500 0.0054
0.8389 0.7500 0.3666
0.9477 0.7500 0.9005
0.0903 0.2500 0.8684
0.1755 0.2500 0.5006
0.2282 0.2500 0.1913
0.2718 0.7500 0.6913
0.3245 0.7500 0.0006
0.4097 0.7500 0.3684
0.5903 0.2500 0.6316
0.6755 0.2500 0.9994
0.7282 0.2500 0.3087
0.7718 0.7500 0.8087
0.8245 0.7500 0.4994
0.9097 0.7500 0.1316
0.0399 0.7500 0.3328
0.4601 0.2500 0.8328
0.5399 0.7500 0.1672
0.9601 0.2500 0.6672
```

***

No. 3
Starting from a cell relaxed with GGA-PBE, the powder diffraction line list of TlGaBr4 was calculated for λ = 1.5418 Å (Cu Kα).
Neutral-atom scattering factors, no anomalous dispersion.

Main lines, most intense first (10° ≤ 2θ ≤ 80°):
- d 3.034, 29.44 deg, intensity 100
- d 3.145, 28.38 deg, intensity 91
- d 7.802, 11.34 deg, intensity 70
- d 2.994, 29.84 deg, intensity 68
- d 3.316, 26.89 deg, intensity 60
- d 3.061, 29.17 deg, intensity 47
- d 5.344, 16.59 deg, intensity 39
- d 5.086, 17.44 deg, intensity 36
- d 3.405, 26.17 deg, intensity 36
- d 2.824, 31.69 deg, intensity 35
- d 3.438, 25.92 deg, intensity 35
- d 5.263, 16.85 deg, intensity 33

Crystal structure
```
TlGaBr4
1.0
12.7449 0.0000 0.0000
0.0000 11.6165 0.0000
-4.3059 0.0000 12.3794
Tl Ga Br
8 8 32
direct
0.2023 0.1386 0.1212
0.2023 0.3614 0.6212
0.2955 0.6596 0.9810
0.2955 0.8404 0.4810
0.7045 0.1596 0.5190
0.7045 0.3404 0.0190
0.7977 0.6386 0.3788
0.7977 0.8614 0.8788
0.0177 0.1382 0.7885
0.0177 0.3618 0.2885
0.4976 0.5792 0.7791
0.4976 0.9208 0.2791
0.5024 0.0792 0.7209
0.5024 0.4208 0.2209
0.9823 0.6382 0.7115
0.9823 0.8618 0.2115
0.0002 0.1259 0.6038
0.0002 0.3741 0.1038
0.9998 0.6259 0.8962
0.9998 0.8741 0.3962
0.0820 0.5333 0.3872
0.0820 0.9667 0.8872
0.1466 0.2150 0.3714
0.1466 0.2850 0.8714
0.1617 0.6744 0.7009
0.1617 0.8256 0.2009
0.3107 0.0459 0.6826
0.3107 0.4541 0.1826
0.4023 0.5757 0.5906
0.4023 0.9243 0.0906
0.4186 0.0685 0.3584
0.4186 0.4315 0.8584
0.4757 0.7439 0.3581
0.4757 0.7561 0.8581
0.5243 0.2439 0.1419
0.5243 0.2561 0.6419
0.5814 0.5685 0.1416
0.5814 0.9315 0.6416
0.5977 0.0757 0.9094
0.5977 0.4243 0.4094
0.6893 0.5459 0.8174
0.6893 0.9541 0.3174
0.8383 0.1744 0.7991
0.8383 0.3256 0.2991
0.8534 0.7150 0.1286
0.8534 0.7850 0.6286
0.9180 0.0333 0.1128
0.9180 0.4667 0.6128
```

***

No. 4
Starting from a cell relaxed with GGA-PBE, the powder diffraction line list of GdBr was calculated for λ = 1.5418 Å (Cu Kα).
Neutral-atom scattering factors, no anomalous dispersion.

Main lines, most intense first (10° ≤ 2θ ≤ 80°):
- d 2.772, 32.29 deg, intensity 100
- d 3.314, 26.90 deg, intensity 29
- d 1.913, 47.52 deg, intensity 24
- d 2.011, 45.08 deg, intensity 22
- d 1.575, 58.62 deg, intensity 18
- d 1.216, 78.70 deg, intensity 15
- d 1.526, 60.68 deg, intensity 15
- d 2.530, 35.48 deg, intensity 12
- d 5.061, 17.52 deg, intensity 10
- d 3.149, 28.34 deg, intensity 9
- d 1.503, 61.70 deg, intensity 8
- d 1.265, 75.07 deg, intensity 7

Crystal structure
```
GdBr
1.0
3.8265 0.0000 0.0000
-1.9133 3.3139 0.0000
0.0000 0.0000 10.1216
Gd Br
2 2
direct
0.3333 0.6667 0.3582
0.6667 0.3333 0.6418
0.3333 0.6667 0.8359
0.6667 0.3333 0.1641
```

***

No. 5
Starting from a cell relaxed with GGA-PBE, the powder diffraction line list of Gd2Br3 was calculated for λ = 1.5418 Å (Cu Kα).
Neutral-atom scattering factors, no anomalous dispersion.

Main lines, most intense first (10° ≤ 2θ ≤ 80°):
- d 2.670, 33.56 deg, intensity 100
- d 2.827, 31.64 deg, intensity 87
- d 3.433, 25.96 deg, intensity 75
- d 2.542, 35.31 deg, intensity 53
- d 3.212, 27.78 deg, intensity 51
- d 7.903, 11.20 deg, intensity 45
- d 1.605, 57.42 deg, intensity 42
- d 2.391, 37.62 deg, intensity 33
- d 2.008, 45.16 deg, intensity 33
- d 2.098, 43.11 deg, intensity 31
- d 5.336, 16.61 deg, intensity 22
- d 2.494, 36.02 deg, intensity 21

Crystal structure
```
Gd2Br3
1.0
8.2920 -2.0079 0.0000
8.2920 2.0079 0.0000
-5.2740 0.0000 9.5074
Gd Br
4 6
direct
0.0828 0.0828 0.4519
0.3660 0.3660 0.2130
0.6340 0.6340 0.7870
0.9172 0.9172 0.5481
0.1595 0.1595 0.0121
0.2709 0.2709 0.3810
0.4523 0.4523 0.7694
0.5477 0.5477 0.2306
0.7291 0.7291 0.6190
0.8405 0.8405 0.9879
```

***

No. 6
Starting from a cell relaxed with GGA-PBE, the powder diffraction line list of LaGdBr2O2 was calculated for λ = 1.5418 Å (Cu Kα).
Neutral-atom scattering factors, no anomalous dispersion.

Main lines, most intense first (10° ≤ 2θ ≤ 80°):
- d 2.851, 31.38 deg, intensity 100
- d 1.646, 55.86 deg, intensity 37
- d 2.017, 44.93 deg, intensity 16
- d 8.049, 10.99 deg, intensity 14
- d 1.276, 74.36 deg, intensity 11
- d 1.426, 65.47 deg, intensity 10
- d 3.607, 24.68 deg, intensity 7
- d 1.801, 50.69 deg, intensity 6
- d 2.327, 38.69 deg, intensity 6
- d 1.344, 70.03 deg, intensity 5
- d 1.955, 46.44 deg, intensity 4
- d 2.012, 45.05 deg, intensity 4

Crystal structure
```
LaGdBr2O2
1.0
4.0346 0.0000 0.0000
0.0000 4.0346 0.0000
0.0000 0.0000 8.0494
La Gd Br O
1 1 2 2
direct
0.0000 0.0000 0.0000
0.5000 0.5000 0.2962
0.0000 0.0000 0.4991
0.5000 0.5000 0.8008
0.0000 0.5000 0.1570
0.5000 0.0000 0.1570
```